Structure and simulated X-ray powder pattern of Tb3Ho2Sc8 (the PBE geometry in Alexandria; copper Kα).

The 10 most intense peaks (10° ≤ 2θ ≤ 80°), sorted by position:
two_theta, d_spacing, I (rel.), hkl
12.31, 7.189, 64, 1 1 0
24.77, 3.595, 45, 2 2 0
26.23, 3.398, 43, 2 2 -1
26.64, 3.346, 43, 4 0 -1
30.82, 2.901, 100, 2 2 1
32.67, 2.741, 67, 4 0 -2
33.11, 2.705, 93, 1 1 2
33.93, 2.642, 76, 1 3 -1
36.35, 2.472, 46, 5 1 0
45.04, 2.013, 40, 6 2 -1

```
data_Tb3Ho2Sc8
_cell_length_a 13.642
_cell_length_b 8.660
_cell_length_c 6.650
_cell_angle_alpha 90.00
_cell_angle_beta 109.03
_cell_angle_gamma 90.00
_space_group_name_H-M_alt 'C 1 2/m 1'
_space_group_IT_number 12
loop_
_space_group_symop_operation_xyz
'x,y,z'
'-x,-y,-z'
'-x,y,-z'
'x,-y,z'
'x+1/2,y+1/2,z'
'-x+1/2,-y+1/2,-z'
'-x+1/2,y+1/2,-z'
'x+1/2,-y+1/2,z'
loop_
_atom_site_label
_atom_site_fract_x
_atom_site_fract_y
_atom_site_fract_z
Tb1 0.000 0.000 0.000
Tb2 0.000 0.183 0.500
Ho1 0.233 0.000 0.425
Sc1 0.069 0.500 0.746
Sc2 0.121 0.317 0.159
Sc3 0.195 0.000 0.897
```

***

Structure and simulated X-ray powder pattern of Tb2Ho8Sc3 (the PBE geometry in Alexandria; copper Kα).

The 10 most intense peaks (10° ≤ 2θ ≤ 80°), sorted by position:
two_theta, d_spacing, I (rel.), hkl
31.54, 2.837, 34, 0 2 1
31.59, 2.832, 100, -2 1 1
36.58, 2.456, 45, 2 1 0
36.70, 2.449, 22, -1 1 4
52.64, 1.739, 8, 1 3 -2
52.76, 1.735, 31, 3 -1 2
62.69, 1.482, 14, 1 -4 1
62.77, 1.480, 23, 4 0 -1
62.90, 1.478, 17, -3 2 5
65.92, 1.417, 8, -4 2 2

```
data_Tb2Ho8Sc3
_cell_length_a 6.013
_cell_length_b 6.021
_cell_length_c 10.950
_cell_angle_alpha 90.10
_cell_angle_beta 100.51
_cell_angle_gamma 99.53
_space_group_name_H-M_alt 'P -1'
_space_group_IT_number 2
loop_
_space_group_symop_operation_xyz
'x,y,z'
'-x,-y,-z'
loop_
_atom_site_label
_atom_site_fract_x
_atom_site_fract_y
_atom_site_fract_z
Tb1 0.115 0.269 0.461
Ho1 0.041 0.418 0.148
Ho2 0.193 0.120 0.778
Ho3 0.346 0.807 0.380
Ho4 0.424 0.658 0.699
Sc1 0.273 0.961 0.073
Sc2 0.500 0.500 0.000
```

***

Structure and simulated X-ray powder pattern of Tb3Ho6Sc (the PBE geometry in Alexandria; copper Kα).

The 10 most intense peaks (10° ≤ 2θ ≤ 80°), sorted by position:
two_theta, d_spacing, I (rel.), hkl
23.45, 3.793, 62, 0 2 1
29.72, 3.006, 29, 2 2 -1
31.65, 2.827, 89, 2 0 2
31.97, 2.800, 100, 3 1 -1
32.38, 2.765, 66, 2 2 1
32.59, 2.747, 99, 1 1 -3
33.63, 2.665, 29, 2 2 -2
35.63, 2.520, 43, 1 3 1
38.46, 2.340, 40, 1 3 -2
56.22, 1.636, 39, 1 3 4

```
data_Tb3Ho6Sc
_cell_length_a 9.004
_cell_length_b 8.446
_cell_length_c 8.797
_cell_angle_alpha 90.00
_cell_angle_beta 101.09
_cell_angle_gamma 90.00
_space_group_name_H-M_alt 'C 1 2/m 1'
_space_group_IT_number 12
loop_
_space_group_symop_operation_xyz
'x,y,z'
'-x,-y,-z'
'-x,y,-z'
'x,-y,z'
'x+1/2,y+1/2,z'
'-x+1/2,-y+1/2,-z'
'-x+1/2,y+1/2,-z'
'x+1/2,-y+1/2,z'
loop_
_atom_site_label
_atom_site_fract_x
_atom_site_fract_y
_atom_site_fract_z
Tb1 0.000 0.000 0.000
Tb2 0.219 0.000 0.735
Ho1 0.118 0.184 0.357
Ho2 0.118 0.500 0.865
Sc1 0.000 0.500 0.500
```

***

Structure and simulated X-ray powder pattern of Tb3HoSc7 (the PBE geometry in Alexandria; copper Kα).

The 10 most intense peaks (10° ≤ 2θ ≤ 80°), sorted by position:
two_theta, d_spacing, I (rel.), hkl
16.53, 5.364, 48, 0 0 2
25.02, 3.559, 100, 1 2 1
32.84, 2.727, 45, 2 0 0
33.41, 2.682, 34, 0 0 4
34.33, 2.612, 19, 0 4 0
34.56, 2.595, 85, 1 2 3
34.84, 2.575, 37, 1 3 2
47.55, 1.912, 25, 2 0 4
59.74, 1.548, 17, 3 2 3
59.94, 1.543, 20, 2 4 4

```
data_Tb3HoSc7
_cell_length_a 5.454
_cell_length_b 10.449
_cell_length_c 10.728
_cell_angle_alpha 90.00
_cell_angle_beta 90.00
_cell_angle_gamma 90.00
_space_group_name_H-M_alt 'I m m m'
_space_group_IT_number 71
_space_group_name_Hall '-I 2 2'
loop_
_atom_site_label
_atom_site_fract_x
_atom_site_fract_y
_atom_site_fract_z
Tb1 0.000 0.000 0.000
Tb2 0.000 0.287 0.500
Ho1 0.000 0.500 0.000
Sc1 0.000 0.000 0.500
Sc2 0.000 0.192 0.216
Sc3 0.000 0.500 0.293
```

***

Structure and simulated X-ray powder pattern of TbHo8Sc2 (the PBE geometry in Alexandria; copper Kα).

The 10 most intense peaks (10° ≤ 2θ ≤ 80°), sorted by position:
two_theta, d_spacing, I (rel.), hkl
23.02, 3.863, 22, 1 1 2
30.61, 2.920, 28, 1 1 4
32.71, 2.738, 100, 1 2 3
33.57, 2.670, 40, 2 0 0
33.60, 2.667, 20, 0 3 1
34.83, 2.576, 18, 0 0 6
48.24, 1.886, 15, 2 3 1
49.16, 1.853, 14, 2 0 6
59.49, 1.554, 19, 3 2 3
64.68, 1.441, 26, 1 5 4

```
data_TbHo8Sc2
_cell_length_a 5.338
_cell_length_b 8.123
_cell_length_c 15.454
_cell_angle_alpha 90.00
_cell_angle_beta 90.00
_cell_angle_gamma 90.00
_space_group_name_H-M_alt 'I m m m'
_space_group_IT_number 71
_space_group_name_Hall '-I 2 2'
loop_
_atom_site_label
_atom_site_fract_x
_atom_site_fract_y
_atom_site_fract_z
Tb1 0.000 0.000 0.000
Ho1 0.000 0.201 0.500
Ho2 0.000 0.295 0.142
Ho3 0.000 0.500 0.337
Sc1 0.000 0.000 0.299
```

***

Structure and simulated X-ray powder pattern of Tb12Ho7Sc (the PBE geometry in Alexandria; copper Kα).

The 10 most intense peaks (10° ≤ 2θ ≤ 80°), sorted by position:
two_theta, d_spacing, I (rel.), hkl
29.30, 3.048, 32, 1 0 4
31.70, 2.822, 100, 0 3 3
32.25, 2.776, 74, 4 0 1
34.57, 2.594, 29, 0 4 2
35.09, 2.557, 10, 3 2 1
49.44, 1.844, 17, 3 0 6
55.98, 1.643, 13, 4 4 0
57.18, 1.611, 24, 4 3 4
58.63, 1.575, 12, 0 7 2
61.65, 1.505, 11, 3 4 5

```
data_Tb12Ho7Sc
_cell_length_a 13.1410
_cell_length_b 13.1410
_cell_length_c 12.6565
_cell_angle_alpha 90.00
_cell_angle_beta 90.00
_cell_angle_gamma 120.00
_space_group_name_H-M_alt 'R -3 m'
_space_group_IT_number 166
_space_group_name_Hall '-R 3 2"'
loop_
_atom_site_label
_atom_site_fract_x
_atom_site_fract_y
_atom_site_fract_z
Tb1 0.0000 0.2613 0.0000
Tb2 0.0889 0.1779 0.7673
Ho1 0.0000 0.0000 0.0000
Ho2 0.0476 0.5238 0.1165
Sc1 0.0000 0.0000 0.5000
```

***

Structure and simulated X-ray powder pattern of TbHo4Sc4 (the PBE geometry in Alexandria; copper Kα).

The 10 most intense peaks (10° ≤ 2θ ≤ 80°), sorted by position:
two_theta, d_spacing, I (rel.), hkl
17.32, 5.121, 10, 2 0 0
20.39, 4.355, 17, 1 0 1
27.54, 3.239, 8, 3 1 0
32.15, 2.784, 100, 3 0 1
37.25, 2.414, 33, 3 3 0
37.38, 2.406, 17, 0 0 2
53.76, 1.705, 34, 3 3 2
63.98, 1.455, 27, 6 3 1
64.16, 1.452, 13, 3 0 3
67.25, 1.392, 11, 6 0 2

```
data_TbHo4Sc4
_cell_length_a 10.242
_cell_length_b 10.242
_cell_length_c 4.812
_cell_angle_alpha 90.00
_cell_angle_beta 90.00
_cell_angle_gamma 90.00
_space_group_name_H-M_alt 'I 4/m m m'
_space_group_IT_number 139
_space_group_name_Hall '-I 4 2'
loop_
_atom_site_label
_atom_site_fract_x
_atom_site_fract_y
_atom_site_fract_z
Tb1 0.000 0.000 0.000
Ho1 0.000 0.329 0.000
Sc1 0.167 0.167 0.500
```

***

Structure and simulated X-ray powder pattern of Tb7Ho3Sc (the PBE geometry in Alexandria; copper Kα).

The 10 most intense peaks (10° ≤ 2θ ≤ 80°), sorted by position:
two_theta, d_spacing, I (rel.), hkl
25.31, 3.519, 29, 0 4 2
28.89, 3.091, 33, 1 5 1
31.10, 2.876, 40, 1 3 -3
32.01, 2.796, 85, 2 2 -2
32.11, 2.787, 85, 2 2 2
32.23, 2.777, 77, 0 0 4
32.55, 2.751, 62, 2 4 0
33.68, 2.661, 100, 0 6 2
53.01, 1.727, 25, 4 0 0
59.77, 1.547, 26, 2 10 -2

```
data_Tb7Ho3Sc
_cell_length_a 6.909
_cell_length_b 18.193
_cell_length_c 11.109
_cell_angle_alpha 90.00
_cell_angle_beta 90.22
_cell_angle_gamma 90.00
_space_group_name_H-M_alt 'C 1 2/m 1'
_space_group_IT_number 12
loop_
_space_group_symop_operation_xyz
'x,y,z'
'-x,-y,-z'
'-x,y,-z'
'x,-y,z'
'x+1/2,y+1/2,z'
'-x+1/2,-y+1/2,-z'
'-x+1/2,y+1/2,-z'
'x+1/2,-y+1/2,z'
loop_
_atom_site_label
_atom_site_fract_x
_atom_site_fract_y
_atom_site_fract_z
Tb1 0.248 0.160 0.028
Tb2 0.248 0.340 0.529
Tb3 0.249 0.086 0.750
Tb4 0.249 0.500 0.750
Ho1 0.000 0.000 0.500
Ho2 0.000 0.250 0.250
Ho3 0.000 0.500 0.000
Sc1 0.000 0.000 0.000
Sc2 0.000 0.500 0.500
```

***

Structure and simulated X-ray powder pattern of Tb6Ho3Th2Sc (the PBE geometry in Alexandria; copper Kα).

The 10 most intense peaks (10° ≤ 2θ ≤ 80°), sorted by position:
two_theta, d_spacing, I (rel.), hkl
30.91, 2.893, 34, 0 0 4
31.06, 2.880, 100, 1 3 1
35.97, 2.497, 68, 2 0 2
51.69, 1.768, 24, 1 3 5
51.88, 1.762, 24, 0 6 0
61.45, 1.509, 14, 2 0 6
61.65, 1.504, 43, 4 0 0
64.42, 1.446, 4, 0 0 8
64.75, 1.440, 12, 2 6 2
76.28, 1.248, 8, 2 6 -6

```
data_Tb6Ho3Th2Sc
_cell_length_a 6.106
_cell_length_b 10.574
_cell_length_c 11.749
_cell_angle_alpha 90.00
_cell_angle_beta 100.00
_cell_angle_gamma 90.00
_space_group_name_H-M_alt 'C 1 2/m 1'
_space_group_IT_number 12
loop_
_space_group_symop_operation_xyz
'x,y,z'
'-x,-y,-z'
'-x,y,-z'
'x,-y,z'
'x+1/2,y+1/2,z'
'-x+1/2,-y+1/2,-z'
'-x+1/2,y+1/2,-z'
'x+1/2,-y+1/2,z'
loop_
_atom_site_label
_atom_site_fract_x
_atom_site_fract_y
_atom_site_fract_z
Tb1 0.248 0.166 0.247
Tb2 0.249 0.500 0.247
Ho1 0.000 0.167 0.500
Ho2 0.000 0.500 0.500
Th1 0.000 0.334 0.000
Sc1 0.000 0.000 0.000
```

***

Structure and simulated X-ray powder pattern of Tb6Ho2TmSc3 (the PBE geometry in Alexandria; copper Kα).

The 10 most intense peaks (10° ≤ 2θ ≤ 80°), sorted by position:
two_theta, d_spacing, I (rel.), hkl
31.47, 2.843, 100, 1 3 1
31.84, 2.810, 32, 0 0 4
32.48, 2.756, 7, 2 0 1
36.60, 2.455, 66, 2 0 2
52.48, 1.744, 24, 0 6 0
52.98, 1.728, 22, 1 3 5
62.49, 1.486, 14, 4 0 0
62.71, 1.482, 27, 3 3 3
63.15, 1.472, 14, 2 0 6
65.68, 1.422, 12, 2 6 2

```
data_Tb6Ho2TmSc3
_cell_length_a 6.042
_cell_length_b 10.457
_cell_length_c 11.419
_cell_angle_alpha 90.00
_cell_angle_beta 100.13
_cell_angle_gamma 90.00
_space_group_name_H-M_alt 'C 1 2/m 1'
_space_group_IT_number 12
loop_
_space_group_symop_operation_xyz
'x,y,z'
'-x,-y,-z'
'-x,y,-z'
'x,-y,z'
'x+1/2,y+1/2,z'
'-x+1/2,-y+1/2,-z'
'-x+1/2,y+1/2,-z'
'x+1/2,-y+1/2,z'
loop_
_atom_site_label
_atom_site_fract_x
_atom_site_fract_y
_atom_site_fract_z
Tb1 0.247 0.000 0.242
Tb2 0.247 0.333 0.242
Ho1 0.000 0.333 0.500
Tm1 0.000 0.000 0.500
Sc1 0.000 0.167 0.000
Sc2 0.000 0.500 0.000
```

***

Structure and simulated X-ray powder pattern of TbHo2TmSc2 (the PBE geometry in Alexandria; copper Kα).

The 10 most intense peaks (10° ≤ 2θ ≤ 80°), sorted by position:
two_theta, d_spacing, I (rel.), hkl
18.93, 4.688, 9, 0 2 0
23.04, 3.860, 34, 1 2 0
32.52, 2.753, 100, 2 2 0
33.10, 2.707, 92, 0 3 1
40.71, 2.216, 8, 1 2 2
47.08, 1.930, 36, 2 4 0
58.72, 1.572, 25, 2 4 2
58.82, 1.570, 12, 2 5 1
59.07, 1.564, 12, 0 3 3
64.73, 1.440, 26, 4 3 1

```
data_TbHo2TmSc2
_cell_length_a 6.804
_cell_length_b 9.362
_cell_length_c 5.422
_cell_angle_alpha 90.00
_cell_angle_beta 90.00
_cell_angle_gamma 90.00
_space_group_name_H-M_alt 'P n n m'
_space_group_IT_number 58
loop_
_space_group_symop_operation_xyz
'x,y,z'
'-x,-y,-z'
'-x,-y,z'
'x,y,-z'
'x+1/2,-y+1/2,-z+1/2'
'-x+1/2,y+1/2,z+1/2'
'-x+1/2,y+1/2,-z+1/2'
'x+1/2,-y+1/2,z+1/2'
loop_
_atom_site_label
_atom_site_fract_x
_atom_site_fract_y
_atom_site_fract_z
Tb1 0.000 0.000 0.000
Ho1 0.249 0.334 0.000
Tm1 0.000 0.500 0.500
Sc1 0.250 0.167 0.500
```

***

Structure and simulated X-ray powder pattern of TbYHo4Sc2 (the PBE geometry in Alexandria; copper Kα).

The 10 most intense peaks (10° ≤ 2θ ≤ 80°), sorted by position:
two_theta, d_spacing, I (rel.), hkl
20.68, 4.295, 17, 2 2 0
27.57, 3.236, 44, 0 4 0
30.23, 2.956, 7, 2 2 -2
31.12, 2.874, 100, 4 0 -2
42.05, 2.149, 84, 4 4 -2
55.34, 1.660, 13, 4 0 -4
62.92, 1.477, 16, 4 4 -4
62.99, 1.476, 8, 8 4 -2
66.30, 1.410, 19, 4 8 -2
71.84, 1.314, 11, 8 4 -4

```
data_TbYHo4Sc2
_cell_length_a 13.264
_cell_length_b 12.943
_cell_length_c 6.646
_cell_angle_alpha 90.00
_cell_angle_beta 120.04
_cell_angle_gamma 90.00
_space_group_name_H-M_alt 'C 1 2/c 1'
_space_group_IT_number 15
loop_
_space_group_symop_operation_xyz
'x,y,z'
'-x,-y,-z'
'-x,y,-z+1/2'
'x,-y,z+1/2'
'x+1/2,y+1/2,z'
'-x+1/2,-y+1/2,-z'
'-x+1/2,y+1/2,-z+1/2'
'x+1/2,-y+1/2,z+1/2'
loop_
_atom_site_label
_atom_site_fract_x
_atom_site_fract_y
_atom_site_fract_z
Tb1 0.000 0.000 0.000
Y1 0.250 0.250 0.000
Ho1 0.000 0.261 0.008
Ho2 0.238 0.490 0.486
Sc1 0.000 0.500 0.000
Sc2 0.250 0.250 0.500
```